Record 1
Starting from a PBE-relaxed structure, the PXRD pattern of Sc5CCl8 was simulated for Cu Kα, 1.54184 Å.
Peak positions follow from Bragg's law for the DFT cell and can differ from measured ones.

Most intense lines, 2θ = 10–90°, sorted by position:
14.52 deg, rel. 42
32.56 deg, rel. 36
33.54 deg, rel. 100
37.09 deg, rel. 54
39.70 deg, rel. 46
50.46 deg, rel. 46

Crystal structure
a b c (Å): 18.2042 3.5446 12.2102
angles (deg): 90.00 129.81 90.00
Space group C2/m (No. 12)
Asymmetric unit:
Sc: 0.0000 0.0000 0.0000 (multiplicity 2)
Sc: 0.0116 0.5000 0.3870 (multiplicity 4)
Sc: 0.1581 0.0000 0.6702 (multiplicity 4)
C: 0.0000 0.0000 0.5000 (multiplicity 2)
Cl: 0.0283 0.0000 0.2358 (multiplicity 4)
Cl: 0.1291 0.5000 0.1014 (multiplicity 4)
Cl: 0.1698 0.5000 0.8312 (multiplicity 4)
Cl: 0.1976 0.5000 0.5648 (multiplicity 4)

***

Record 2
Starting from a PBE-relaxed structure, the PXRD pattern of Si3CCl8 was simulated for Cu Kα, 1.54184 Å.
Peak positions follow from Bragg's law for the DFT cell and can differ from measured ones.

Most intense lines, 2θ = 10–90°, sorted by position:
10.49 deg, rel. 50
11.36 deg, rel. 46
12.54 deg, rel. 100
12.66 deg, rel. 68
28.44 deg, rel. 72
28.55 deg, rel. 45

Crystal structure
a b c (Å): 9.0400 9.4911 9.6358
angles (deg): 96.90 115.66 102.13
Space group P-1 (No. 2)
Asymmetric unit:
Si: 0.0203 0.2080 0.2722 (multiplicity 2)
Si: 0.1022 0.9342 0.0949 (multiplicity 2)
Si: 0.2946 0.2806 0.1586 (multiplicity 2)
C: 0.0872 0.1356 0.1188 (multiplicity 2)
Cl: 0.0838 0.8260 0.2597 (multiplicity 2)
Cl: 0.0853 0.6226 0.7823 (multiplicity 2)
Cl: 0.1559 0.9461 0.7034 (multiplicity 2)
Cl: 0.2262 0.2846 0.4943 (multiplicity 2)
Cl: 0.2778 0.4920 0.1969 (multiplicity 2)
Cl: 0.3293 0.9221 0.1037 (multiplicity 2)
Cl: 0.3559 0.2648 0.9781 (multiplicity 2)
Cl: 0.4964 0.7321 0.6469 (multiplicity 2)

***

Record 3
Starting from a PBE-relaxed structure, the PXRD pattern of Si3CCl7 was simulated for Cu Kα, 1.54184 Å.
Peak positions follow from Bragg's law for the DFT cell and can differ from measured ones.

Most intense lines, 2θ = 10–90°, sorted by position:
11.28 deg, rel. 89
11.77 deg, rel. 57
12.99 deg, rel. 87
24.41 deg, rel. 100
28.94 deg, rel. 52
29.09 deg, rel. 48

Crystal structure
a b c (Å): 16.4209 9.0190 18.1662
angles (deg): 90.00 104.57 90.00
Space group C2/c (No. 15)
Asymmetric unit:
Si: 0.0447 0.1965 0.3129 (multiplicity 8)
Si: 0.0639 0.4658 0.2215 (multiplicity 8)
Si: 0.1262 0.4879 0.4070 (multiplicity 8)
C: 0.0515 0.4098 0.3206 (multiplicity 8)
Cl: 0.0071 0.0927 0.1091 (multiplicity 8)
Cl: 0.0909 0.3141 0.7158 (multiplicity 8)
Cl: 0.0984 0.2992 0.9303 (multiplicity 8)
Cl: 0.1281 0.3637 0.5016 (multiplicity 8)
Cl: 0.1525 0.3588 0.1805 (multiplicity 8)
Cl: 0.1603 0.0999 0.3252 (multiplicity 8)
Cl: 0.2452 0.4881 0.3903 (multiplicity 8)